The following is a calculated XRD peak list of Si12Ni31. It was derived from a GGA-PBE-relaxed structure, using CuKα.
Intensities are scaled so that the largest is 100.

Cell lengths 6.664, 6.664, 12.308 Å; angles 90.00, 90.00, 120.00 degrees
Atoms (fractional coordinates):
1 Si 0.000 0.000 0.207
2 Si 0.000 0.000 0.793
3 Si 0.000 0.351 0.000
4 Si 0.000 0.681 0.500
5 Si 0.319 0.319 0.500
6 Si 0.333 0.667 0.274
7 Si 0.333 0.667 0.775
8 Si 0.351 0.000 0.000
9 Si 0.649 0.649 0.000
10 Si 0.667 0.333 0.225
11 Si 0.667 0.333 0.726
12 Si 0.681 0.000 0.500
13 Ni 0.000 0.000 0.000
14 Ni 0.000 0.000 0.403
15 Ni 0.000 0.000 0.597
16 Ni 0.034 0.358 0.195
17 Ni 0.037 0.703 0.698
18 Ni 0.062 0.692 0.904
19 Ni 0.080 0.413 0.405
20 Ni 0.297 0.335 0.698
21 Ni 0.308 0.370 0.904
22 Ni 0.323 0.966 0.195
23 Ni 0.333 0.667 0.067
24 Ni 0.333 0.667 0.573
25 Ni 0.333 0.920 0.405
26 Ni 0.335 0.297 0.302
27 Ni 0.358 0.034 0.805
28 Ni 0.370 0.308 0.096
29 Ni 0.413 0.080 0.595
30 Ni 0.587 0.667 0.405
31 Ni 0.630 0.938 0.904
32 Ni 0.642 0.677 0.195
33 Ni 0.665 0.963 0.698
34 Ni 0.667 0.333 0.427
35 Ni 0.667 0.333 0.933
36 Ni 0.667 0.587 0.595
37 Ni 0.677 0.642 0.805
38 Ni 0.692 0.062 0.096
39 Ni 0.703 0.037 0.302
40 Ni 0.920 0.333 0.595
41 Ni 0.938 0.630 0.096
42 Ni 0.963 0.665 0.302
43 Ni 0.966 0.323 0.805

Top 6 peaks for 5° ≤ 2θ ≤ 70°, low angle first:
two_theta  d (Å)  I/Imax
42.07  2.148  28
42.97  2.105  25
45.83  1.980  100
47.24  1.924  92
51.34  1.780  13
67.94  1.380  13